For LiVFeP4O14, a structure optimized by DFT (PBE+U) gives the computed powder diffraction line list in this record (Cu Kα (λ = 1.5418 Å)).
No peak broadening, texture or thermal motion is included.

Structural model:
a = 7.173 Å, b = 8.089 Å, c = 9.726 Å
α = 89.96°, β = 68.63°, γ = 89.92°
Atoms (fractional coordinates):
Li 0.000 0.000 0.000
Li 0.154 0.503 0.502
V 0.112 0.134 0.495
V 0.606 0.146 0.996
Fe 0.044 0.633 0.009
Fe 0.554 0.649 0.509
P 0.040 0.321 0.812
P 0.113 0.820 0.692
P 0.232 0.923 0.185
P 0.427 0.421 0.816
P 0.535 0.317 0.314
P 0.618 0.816 0.191
P 0.727 0.924 0.688
P 0.924 0.418 0.317
O 0.033 0.457 0.155
O 0.061 0.324 0.381
O 0.076 0.312 0.645
O 0.084 0.823 0.855
O 0.086 0.839 0.127
O 0.129 0.971 0.349
O 0.185 0.991 0.623
O 0.242 0.679 0.601
O 0.251 0.285 0.829
O 0.325 0.077 0.092
O 0.330 0.569 0.912
O 0.398 0.176 0.399
O 0.401 0.789 0.174
O 0.456 0.486 0.379
O 0.532 0.465 0.654
O 0.566 0.320 0.874
O 0.575 0.304 0.147
O 0.581 0.817 0.355
O 0.582 0.833 0.636
O 0.629 0.979 0.850
O 0.693 0.987 0.117
O 0.747 0.286 0.331
O 0.752 0.679 0.102
O 0.831 0.075 0.593
O 0.837 0.571 0.412
O 0.898 0.789 0.678
O 0.907 0.179 0.901
O 0.966 0.491 0.872

Peak list (6 most intense, 2θ from 10° to 90°, sorted by position)
d [Å], 2θ/deg, intensity, h k l
5.141, 17.2, 100, 1 1 1
4.018, 22.1, 22, 1 1 -1
3.952, 22.5, 41, 0 1 -2
3.339, 26.7, 21, 2 0 0
3.085, 28.9, 23, 2 -1 0
3.017, 29.6, 50, 0 2 -2